Diffraction record for Tl2AgSbTe4. The X-ray diffraction stick pattern is calculated, not measured: it uses a DFT-relaxed cell (GGA-PBE, Alexandria) and copper Kα.
Kinematic intensities with the Lorentz-polarization factor, no thermal factor.

Most intense lines, 2θ from 10° to 90°, in order of rising 2θ:
26.26 deg, I 39
29.20 deg, I 54
32.71 deg, I 100
45.06 deg, I 24
46.98 deg, I 16
49.40 deg, I 15
51.72 deg, I 18
54.04 deg, I 16
60.50 deg, I 19
74.37 deg, I 14

Atomic structure:
```
data_Tl2AgSbTe4
_chemical_formula_sum 'Tl2 Ag1 Sb1 Te4'
_cell_length_a 7.0654
_cell_length_b 7.0654
_cell_length_c 7.0654
_cell_angle_alpha 104.52
_cell_angle_beta 104.52
_cell_angle_gamma 119.91
_symmetry_space_group_name_H-M 'P 1'
_symmetry_Int_Tables_number 1
loop_
_symmetry_equiv_pos_as_xyz
'x,y,z'
loop_
_atom_site_label
_atom_site_fract_x
_atom_site_fract_y
_atom_site_fract_z
Tl1 0.0000 0.5000 0.5000
Tl2 0.5000 0.0000 0.5000
Ag1 0.0000 0.0000 0.0000
Sb1 0.5000 0.5000 0.0000
Te1 0.0766 0.4407 0.0000
Te2 0.4407 0.0766 0.0000
Te3 0.5593 0.5593 0.6359
Te4 0.9234 0.9234 0.3641
```